1.
Mn2ZnSe: simulated XRD peak list (Cu Kα (λ = 1.5418 Å)), based on a crystal structure in Alexandria, relaxed with GGA-PBE.
No peak broadening, texture or thermal motion is included.

Most intense lines, 2θ = 15–90°, most intense first:
2θ (°), intensity, h k l
43.1, 100.0, 1 0 2
37.1, 89.3, 1 1 0
71.1, 23.9, 1 2 2
71.0, 20.7, 2 1 2
53.4, 14.8, 2 0 0
53.6, 14.6, 0 2 0
79.1, 8.7, 2 2 0
83.0, 8.4, 1 1 4
31.1, 7.7, 1 0 -1
51.1, 7.4, 1 1 -2

Cell: 3.430 3.422 5.303 Å, 90.00 90.08 90.00°
Space group Pm (No. 6)
Unique sites:
Mn1 0.000 0.000 0.000
Mn2 0.500 0.500 0.276
Zn1 0.000 0.000 0.476
Se1 0.500 0.500 0.800

=====

2.
Al7Ag: simulated XRD peak list (Cu Kα (λ = 1.5418 Å)), based on a crystal structure in Alexandria, relaxed with GGA-PBE.
No peak broadening, texture or thermal motion is included.

Most intense lines, 2θ = 15–90°, most intense first:
2θ (°), intensity, h k l
38.3, 100.0, 1 1 0
38.5, 98.5, 0 1 4
44.7, 95.4, 0 2 0
23.3, 44.2, 0 0 3
65.0, 40.3, 1 2 4
78.0, 35.5, 1 3 0
15.5, 33.6, 0 0 2
78.3, 23.2, 1 1 8
39.2, 23.1, 1 0 3
26.9, 22.4, 0 1 2

Cell: 2.879 4.059 11.443 Å, 90.00 90.00 90.00°
Space group Pmmm (No. 47)
Unique sites:
Al1 0.000 0.000 0.000
Al2 0.000 0.000 0.247
Al3 0.500 0.500 0.126
Al4 0.500 0.500 0.371
Ag1 0.000 0.000 0.500

=====

3.
Sm3Zn2Pt3: simulated XRD peak list (Cu Kα (λ = 1.5418 Å)), based on a crystal structure in Alexandria, relaxed with GGA-PBE.
No peak broadening, texture or thermal motion is included.

Most intense lines, 2θ = 15–90°, most intense first:
2θ (°), intensity, h k l
36.1, 100.0, 2 1 1
36.9, 85.2, 3 0 0
38.0, 78.6, 1 1 2
21.1, 47.6, 1 1 0
31.3, 47.4, 0 0 2
47.6, 41.1, 3 1 1
49.1, 33.7, 3 0 2
70.1, 26.3, 4 2 1
58.9, 24.6, 2 1 3
77.4, 19.7, 3 0 4

Cell: 8.4352 8.4352 5.7208 Å, 90.00 90.00 120.00°
Space group P6_3/mcm (No. 193)
Unique sites:
Sm1 0.0000 0.2791 0.2500
Zn1 0.3333 0.6667 0.0000
Pt1 0.0000 0.3863 0.7500

=====

Repeat the third record exactly.
Sm3Zn2Pt3: simulated XRD peak list (Cu Kα (λ = 1.5418 Å)), based on a crystal structure in Alexandria, relaxed with GGA-PBE.
No peak broadening, texture or thermal motion is included.

Most intense lines, 2θ = 15–90°, most intense first:
2θ (°), intensity, h k l
36.1, 100.0, 2 1 1
36.9, 85.2, 3 0 0
38.0, 78.6, 1 1 2
21.1, 47.6, 1 1 0
31.3, 47.4, 0 0 2
47.6, 41.1, 3 1 1
49.1, 33.7, 3 0 2
70.1, 26.3, 4 2 1
58.9, 24.6, 2 1 3
77.4, 19.7, 3 0 4

Cell: 8.4352 8.4352 5.7208 Å, 90.00 90.00 120.00°
Space group P6_3/mcm (No. 193)
Unique sites:
Sm1 0.0000 0.2791 0.2500
Zn1 0.3333 0.6667 0.0000
Pt1 0.0000 0.3863 0.7500